This entry pairs a crystal structure of KNaNb2O6 with its computed XRD peak list. Radiation: Cu Kα, 1.54184 Å. Structure: a structure optimized by DFT (PBE).
Intensities are scaled so that the largest is 100.

Cell lengths 4.0838, 4.0025, 8.1627 Å; angles 90.00, 90.39, 90.00 degrees
Space group Pm (No. 6)
Asymmetric unit:
K 0.0000 0.0000 0.0000 [1 per cell]
Na 0.0196 0.0000 0.4917 [1 per cell]
Nb 0.5120 0.5000 0.7414 [1 per cell]
Nb 0.5131 0.5000 0.2474 [1 per cell]
O 0.4721 0.5000 0.5106 [1 per cell]
O 0.4732 0.0000 0.2685 [1 per cell]
O 0.4741 0.0000 0.7589 [1 per cell]
O 0.4822 0.5000 0.0139 [1 per cell]
O 0.9763 0.5000 0.7559 [1 per cell]
O 0.9769 0.5000 0.2675 [1 per cell]

Peak list (10 most intense, 2θ = 10–80°, sorted by position)
2θ 21.77, I = 65
2θ 22.21, I = 31
2θ 30.87, I = 26
2θ 31.08, I = 25
2θ 31.30, I = 100
2θ 44.38, I = 43
2θ 45.31, I = 21
2θ 55.17, I = 21
2θ 55.44, I = 19
2θ 65.30, I = 24